[1]
Calculated X-ray powder pattern
Compound: SrAc2Cd2Ge2
Radiation: Cu Kα (λ = 1.5418 Å)
Structure: a crystal structure in Alexandria, relaxed with GGA-PBE

The 6 most intense peaks (10 to 90 degrees two-theta), most intense first:
2θ/deg	d/Å	I (rel.)
29.4	3.037	100.0
39.5	2.282	57.5
24.4	3.648	42.2
27.9	3.194	29.5
50.0	1.824	23.1
65.5	1.425	20.5

Structure:
abc: 12.926 12.926 12.926
angles: 20.33 20.33 20.33
Element x y z (fractional)
Sr 0.000 0.000 0.000
Ac 0.122 0.122 0.122
Ac 0.878 0.878 0.878
Cd 0.391 0.391 0.391
Cd 0.609 0.609 0.609
Ge 0.262 0.262 0.262
Ge 0.738 0.738 0.738

=====

[2]
Calculated X-ray powder pattern
Compound: AcCdNi2H6
Radiation: Cu Kα (λ = 1.5418 Å)
Structure: a crystal structure in Alexandria, relaxed with GGA-PBE

The 6 most intense peaks (10 to 90 degrees two-theta), most intense first:
2θ/deg	d/Å	I (rel.)
33.4	2.685	100.0
34.9	2.573	95.0
24.5	3.639	68.8
23.5	3.793	64.7
24.8	3.586	60.9
39.7	2.269	42.1

Structure:
abc: 7.189 7.189 4.544
angles: 91.61 91.61 116.20
Element x y z (fractional)
Ac 0.166 0.834 0.750
Ac 0.834 0.166 0.250
Cd 0.413 0.587 0.250
Cd 0.587 0.413 0.750
Ni 0.191 0.347 0.727
Ni 0.347 0.191 0.227
Ni 0.653 0.809 0.773
Ni 0.809 0.653 0.273
H 0.021 0.654 0.214
H 0.166 0.181 0.979
H 0.179 0.508 0.510
H 0.181 0.166 0.479
H 0.346 0.979 0.286
H 0.492 0.821 0.990
H 0.508 0.179 0.010
H 0.654 0.021 0.714
H 0.819 0.834 0.521
H 0.821 0.492 0.490
H 0.834 0.819 0.021
H 0.979 0.346 0.786

=====

[3]
Calculated X-ray powder pattern
Compound: AcCdH8Pd2
Radiation: Cu Kα (λ = 1.5418 Å)
Structure: a crystal structure in Alexandria, relaxed with GGA-PBE

The 6 most intense peaks (10 to 90 degrees two-theta), most intense first:
2θ/deg	d/Å	I (rel.)
28.3	3.154	100.0
33.6	2.670	61.3
34.8	2.580	34.7
37.7	2.385	28.2
27.8	3.205	24.4
52.2	1.751	21.3

Structure:
abc: 3.671 3.671 9.828
angles: 99.83 99.83 89.30
Element x y z (fractional)
Ac 0.000 0.000 0.000
Cd 0.000 0.000 0.500
H 0.105 0.598 0.234
H 0.366 0.366 0.566
H 0.402 0.895 0.766
H 0.465 0.465 0.924
H 0.535 0.535 0.076
H 0.598 0.105 0.234
H 0.634 0.634 0.434
H 0.895 0.402 0.766
Pd 0.391 0.391 0.747
Pd 0.609 0.609 0.253